This entry pairs a crystal structure of La4TbNd2Tm with its calculated PXRD pattern. Radiation: Cu Kα (weighted mean of Kα1 and Kα2). Structure: a GGA-PBE-relaxed structure.

Crystal structure
abc: 5.216 5.252 10.215
angles: 90.00 90.06 90.00
Space group P2/m (No. 10)
One atom of each set of equivalent atoms:
La (0.000, 0.000, 0.249) (multiplicity 2)
La (0.499, 0.500, 0.249) (multiplicity 2)
Tb (0.500, 0.000, 0.500) (multiplicity 1)
Nd (0.000, 0.500, 0.500) (multiplicity 1)
Nd (0.500, 0.000, 0.000) (multiplicity 1)
Tm (0.000, 0.500, 0.000) (multiplicity 1)

The 10 most intense peaks (15 to 90 degrees two-theta), most intense first:
d = 2.997 Å, I 100, (1 1 2)
d = 2.626 Å, I 17, (0 2 0)
d = 2.608 Å, I 17, (2 0 0)
d = 2.554 Å, I 16, (0 0 4)
d = 1.578 Å, I 15, (1 3 2)
d = 1.570 Å, I 15, (3 1 2)
d = 1.498 Å, I 12, (2 2 4)
d = 1.850 Å, I 12, (2 2 0)
d = 1.831 Å, I 12, (0 2 4)
d = 1.825 Å, I 12, (2 0 4)

=====

This entry pairs a crystal structure of LaTb2Nd5Tm with its calculated PXRD pattern. Radiation: Cu Kα (weighted mean of Kα1 and Kα2). Structure: a GGA-PBE-relaxed structure.

Crystal structure
abc: 9.442 9.442 14.243
angles: 90.00 90.00 90.00
Space group I4/mcm (No. 140)
One atom of each set of equivalent atoms:
La (0.000, 0.000, 0.250) (multiplicity 4)
Tb (0.109, 0.391, 0.000) (multiplicity 8)
Nd (0.000, 0.000, 0.000) (multiplicity 4)
Nd (0.203, 0.297, 0.369) (multiplicity 16)
Tm (0.000, 0.500, 0.250) (multiplicity 4)

The 10 most intense peaks (15 to 90 degrees two-theta), most intense first:
d = 2.843 Å, I 100, (2 0 4)
d = 3.338 Å, I 58, (2 2 0)
d = 3.155 Å, I 53, (2 1 3)
d = 2.576 Å, I 27, (3 2 1)
d = 2.361 Å, I 21, (4 0 0)
d = 2.261 Å, I 20, (4 1 1)
d = 1.816 Å, I 18, (4 2 4)
d = 2.986 Å, I 15, (3 1 0)
d = 2.754 Å, I 15, (3 1 2)
d = 1.571 Å, I 12, (2 2 8)

=====

This entry pairs a crystal structure of La2TbNd4Tm with its calculated PXRD pattern. Radiation: Cu Kα (weighted mean of Kα1 and Kα2). Structure: a GGA-PBE-relaxed structure.

Crystal structure
abc: 5.149 5.176 10.404
angles: 90.00 90.09 90.00
Space group P2/m (No. 10)
One atom of each set of equivalent atoms:
La (0.000, 0.000, 0.000) (multiplicity 1)
La (0.500, 0.500, 0.500) (multiplicity 1)
Tb (0.000, 0.000, 0.500) (multiplicity 1)
Nd (0.001, 0.500, 0.751) (multiplicity 2)
Nd (0.500, 0.000, 0.249) (multiplicity 2)
Tm (0.500, 0.500, 0.000) (multiplicity 1)

The 10 most intense peaks (15 to 90 degrees two-theta), most intense first:
d = 2.988 Å, I 100, (1 1 2)
d = 1.833 Å, I 18, (0 2 4)
d = 1.826 Å, I 18, (2 2 0)
d = 2.601 Å, I 17, (0 0 4)
d = 2.588 Å, I 17, (0 2 0)
d = 2.575 Å, I 17, (2 0 0)
d = 1.566 Å, I 15, (1 1 6)
d = 1.560 Å, I 14, (1 3 2)
d = 1.555 Å, I 14, (3 1 2)
d = 1.494 Å, I 12, (2 2 4)

=====

This entry pairs a crystal structure of LaTb3NdY with its calculated PXRD pattern. Radiation: Cu Kα (weighted mean of Kα1 and Kα2). Structure: a GGA-PBE-relaxed structure.

Crystal structure
abc: 19.927 5.726 7.099
angles: 90.00 90.46 90.00
Space group C2/m (No. 12)
One atom of each set of equivalent atoms:
La (0.145, 0.000, 0.028) (multiplicity 4)
Tb (0.022, 0.000, 0.739) (multiplicity 4)
Tb (0.164, 0.500, 0.730) (multiplicity 4)
Tb (0.220, 0.500, 0.243) (multiplicity 4)
Nd (0.052, 0.500, 0.263) (multiplicity 4)
Y (0.150, 0.000, 0.460) (multiplicity 4)

The 10 most intense peaks (15 to 90 degrees two-theta), most intense first:
d = 2.979 Å, I 100, (5 1 -1)
d = 2.863 Å, I 81, (0 2 0)
d = 2.963 Å, I 62, (5 1 1)
d = 2.740 Å, I 59, (3 1 2)
d = 2.754 Å, I 42, (3 1 -2)
d = 2.549 Å, I 36, (7 1 0)
d = 3.550 Å, I 32, (0 0 2)
d = 1.675 Å, I 23, (5 3 -1)
d = 2.902 Å, I 21, (4 0 -2)
d = 2.228 Å, I 18, (0 2 2)

=====

This entry pairs a crystal structure of La2Nd2Tc with its calculated PXRD pattern. Radiation: Cu Kα (weighted mean of Kα1 and Kα2). Structure: a GGA-PBE-relaxed structure.

Crystal structure
abc: 4.983 4.983 26.282
angles: 90.00 90.00 90.00
Space group I4_1/amd (No. 141, origin choice 2)
One atom of each set of equivalent atoms:
La (0.000, 0.250, 0.068) (multiplicity 8)
Nd (0.000, 0.250, 0.198) (multiplicity 8)
Tc (0.000, 0.250, 0.875) (multiplicity 4)

The 10 most intense peaks (15 to 90 degrees two-theta), most intense first:
d = 2.746 Å, I 100, (1 1 6)
d = 2.492 Å, I 63, (2 0 0)
d = 3.404 Å, I 52, (1 1 2)
d = 1.483 Å, I 30, (3 1 6)
d = 2.107 Å, I 26, (1 1 10)
d = 3.285 Å, I 25, (0 0 8)
d = 1.985 Å, I 25, (2 0 8)
d = 1.762 Å, I 22, (2 2 0)
d = 2.519 Å, I 15, (1 0 9)
d = 4.332 Å, I 13, (1 0 3)

=====

This entry pairs a crystal structure of La3NdTc with its calculated PXRD pattern. Radiation: Cu Kα (weighted mean of Kα1 and Kα2). Structure: a GGA-PBE-relaxed structure.

Crystal structure
abc: 7.221 6.998 13.140
angles: 90.00 91.37 90.00
Space group P2/c (No. 13)
One atom of each set of equivalent atoms:
La (0.114, 0.248, 0.453) (multiplicity 4)
La (0.248, 0.001, 0.216) (multiplicity 4)
La (0.383, 0.259, 0.961) (multiplicity 4)
Nd (0.242, 0.494, 0.715) (multiplicity 4)
Tc (0.070, 0.237, 0.866) (multiplicity 4)

The 10 most intense peaks (15 to 90 degrees two-theta), most intense first:
d = 3.088 Å, I 100, (0 2 2)
d = 3.017 Å, I 44, (1 0 -4)
d = 3.132 Å, I 42, (2 0 2)
d = 1.750 Å, I 40, (0 4 0)
d = 2.512 Å, I 35, (2 2 0)
d = 3.101 Å, I 28, (2 1 1)
d = 2.851 Å, I 24, (1 2 -2)
d = 2.360 Å, I 23, (2 2 -2)
d = 1.604 Å, I 22, (4 2 0)
d = 2.562 Å, I 21, (2 1 3)

=====

This entry pairs a crystal structure of La6Nd2Tc with its calculated PXRD pattern. Radiation: Cu Kα (weighted mean of Kα1 and Kα2). Structure: a GGA-PBE-relaxed structure.

Crystal structure
abc: 6.981 9.919 10.054
angles: 68.72 77.45 75.02
Space group P-1 (No. 2)
One atom of each set of equivalent atoms:
La (0.025, 0.179, 0.362) (multiplicity 2)
La (0.081, 0.357, 0.647) (multiplicity 2)
La (0.144, 0.639, 0.995) (multiplicity 2)
La (0.385, 0.677, 0.421) (multiplicity 2)
La (0.393, 0.271, 0.939) (multiplicity 2)
La (0.427, 0.372, 0.276) (multiplicity 2)
Nd (0.149, 0.969, 0.119) (multiplicity 2)
Nd (0.397, 0.002, 0.708) (multiplicity 2)
Tc (0.202, 0.516, 0.756) (multiplicity 2)

The 10 most intense peaks (15 to 90 degrees two-theta), most intense first:
d = 2.821 Å, I 100, (2 -1 1)
d = 3.223 Å, I 88, (1 1 3)
d = 2.924 Å, I 88, (2 1 -1)
d = 3.035 Å, I 81, (-1 2 2)
d = 3.059 Å, I 60, (1 -2 1)
d = 3.018 Å, I 49, (0 3 0)
d = 2.650 Å, I 38, (2 3 2)
d = 3.169 Å, I 30, (2 2 1)
d = 3.093 Å, I 28, (0 0 3)
d = 2.673 Å, I 23, (0 1 -3)

=====

This entry pairs a crystal structure of La2NdTc with its calculated PXRD pattern. Radiation: Cu Kα (weighted mean of Kα1 and Kα2). Structure: a GGA-PBE-relaxed structure.

Crystal structure
abc: 7.435 9.880 6.661
angles: 90.00 90.00 90.00
Space group Pnma (No. 62)
One atom of each set of equivalent atoms:
La (0.174, 0.069, 0.165) (multiplicity 8)
Nd (0.060, 0.250, 0.640) (multiplicity 4)
Tc (0.080, 0.750, 0.945) (multiplicity 4)

The 10 most intense peaks (15 to 90 degrees two-theta), most intense first:
d = 2.905 Å, I 100, (1 1 2)
d = 2.952 Å, I 88, (0 3 1)
d = 2.713 Å, I 78, (2 2 1)
d = 2.970 Å, I 66, (2 2 0)
d = 2.744 Å, I 62, (1 3 1)
d = 1.789 Å, I 58, (4 0 1)
d = 3.040 Å, I 56, (1 0 2)
d = 2.467 Å, I 35, (2 3 0)
d = 1.954 Å, I 34, (1 2 3)
d = 1.702 Å, I 32, (3 3 2)

=====

This entry pairs a crystal structure of LaNdTe with its calculated PXRD pattern. Radiation: Cu Kα (weighted mean of Kα1 and Kα2). Structure: a GGA-PBE-relaxed structure.

Crystal structure
abc: 17.424 4.170 11.389
angles: 90.00 93.59 90.00
Space group C2/m (No. 12)
One atom of each set of equivalent atoms:
La (0.030, 0.000, 0.357) (multiplicity 4)
La (0.108, 0.500, 0.853) (multiplicity 4)
Nd (0.195, 0.000, 0.085) (multiplicity 4)
Nd (0.250, 0.000, 0.650) (multiplicity 4)
Te (0.078, 0.500, 0.164) (multiplicity 4)
Te (0.114, 0.500, 0.554) (multiplicity 4)

The 10 most intense peaks (15 to 90 degrees two-theta), most intense first:
d = 2.789 Å, I 100, (1 1 -3)
d = 2.671 Å, I 85, (5 1 0)
d = 2.954 Å, I 66, (3 1 -2)
d = 2.771 Å, I 63, (4 0 3)
d = 3.212 Å, I 62, (3 1 1)
d = 2.085 Å, I 43, (0 2 0)
d = 1.665 Å, I 40, (4 2 3)
d = 2.842 Å, I 36, (0 0 4)
d = 1.456 Å, I 28, (7 1 -6)
d = 2.863 Å, I 26, (3 1 2)

=====

This entry pairs a crystal structure of La2NdTe with its calculated PXRD pattern. Radiation: Cu Kα (weighted mean of Kα1 and Kα2). Structure: a GGA-PBE-relaxed structure.

Crystal structure
abc: 4.948 4.948 4.989
angles: 90.00 90.00 90.00
Space group P4/mmm (No. 123)
One atom of each set of equivalent atoms:
La (0.000, 0.500, 0.000) (multiplicity 2)
Nd (0.000, 0.000, 0.500) (multiplicity 1)
Te (0.500, 0.500, 0.500) (multiplicity 1)

The 10 most intense peaks (15 to 90 degrees two-theta), most intense first:
d = 2.864 Å, I 100, (1 1 1)
d = 2.474 Å, I 33, (2 0 0)
d = 1.493 Å, I 28, (3 1 1)
d = 1.756 Å, I 24, (2 0 2)
d = 2.494 Å, I 17, (0 0 2)
d = 1.502 Å, I 14, (1 1 3)
d = 1.432 Å, I 12, (2 2 2)
d = 1.749 Å, I 12, (2 2 0)
d = 1.139 Å, I 12, (3 1 3)
d = 1.136 Å, I 6, (3 3 1)

=====

This entry pairs a crystal structure of LaNd4Te7 with its calculated PXRD pattern. Radiation: Cu Kα (weighted mean of Kα1 and Kα2). Structure: a GGA-PBE-relaxed structure.

Crystal structure
abc: 14.854 4.382 13.561
angles: 90.00 104.46 90.00
Space group Cm (No. 8)
One atom of each set of equivalent atoms:
La (0.000, 0.000, 0.000) (multiplicity 2)
Nd (0.115, 0.000, 0.424) (multiplicity 2)
Nd (0.230, 0.000, 0.844) (multiplicity 2)
Nd (0.316, 0.500, 0.237) (multiplicity 2)
Nd (0.414, 0.000, 0.611) (multiplicity 2)
Te (0.075, 0.000, 0.639) (multiplicity 2)
Te (0.116, 0.500, 0.921) (multiplicity 2)
Te (0.155, 0.000, 0.209) (multiplicity 2)
Te (0.276, 0.500, 0.471) (multiplicity 2)
Te (0.356, 0.500, 0.770) (multiplicity 2)
Te (0.370, 0.000, 0.075) (multiplicity 2)
Te (0.454, 0.000, 0.375) (multiplicity 2)

The 10 most intense peaks (15 to 90 degrees two-theta), most intense first:
d = 3.117 Å, I 100, (3 1 -2)
d = 3.272 Å, I 89, (3 1 -1)
d = 3.025 Å, I 79, (3 1 1)
d = 2.191 Å, I 69, (0 2 0)
d = 3.383 Å, I 59, (2 0 3)
d = 2.498 Å, I 51, (1 1 4)
d = 3.316 Å, I 50, (2 0 -4)
d = 4.339 Å, I 49, (2 0 2)
d = 3.235 Å, I 49, (3 1 0)
d = 2.681 Å, I 46, (1 1 -4)

=====

This entry pairs a crystal structure of LaNdTmTe3 with its calculated PXRD pattern. Radiation: Cu Kα (weighted mean of Kα1 and Kα2). Structure: a GGA-PBE-relaxed structure.

Crystal structure
abc: 8.668 4.517 10.539
angles: 90.00 109.58 90.00
Space group P2_1/m (No. 11)
One atom of each set of equivalent atoms:
La (0.181, 0.250, 0.228) (multiplicity 2)
Nd (0.357, 0.750, 0.882) (multiplicity 2)
Tm (0.140, 0.250, 0.619) (multiplicity 2)
Te (0.102, 0.250, 0.896) (multiplicity 2)
Te (0.236, 0.750, 0.476) (multiplicity 2)
Te (0.455, 0.750, 0.212) (multiplicity 2)

The 10 most intense peaks (15 to 90 degrees two-theta), most intense first:
d = 2.767 Å, I 100, (1 1 -3)
d = 3.029 Å, I 89, (2 1 0)
d = 2.258 Å, I 40, (0 2 0)
d = 3.122 Å, I 31, (2 1 -1)
d = 2.429 Å, I 22, (3 1 -1)
d = 3.341 Å, I 15, (0 1 2)
d = 2.231 Å, I 15, (3 1 -3)
d = 2.340 Å, I 14, (2 1 2)
d = 1.925 Å, I 14, (4 0 -4)
d = 3.310 Å, I 13, (0 0 3)

=====

This entry pairs a crystal structure of La2Nd3YTe6 with its calculated PXRD pattern. Radiation: Cu Kα (weighted mean of Kα1 and Kα2). Structure: a GGA-PBE-relaxed structure.

Crystal structure
abc: 19.602 4.489 9.052
angles: 90.00 103.02 90.00
Space group C2/m (No. 12)
One atom of each set of equivalent atoms:
La (0.167, 0.000, 0.334) (multiplicity 4)
Nd (0.000, 0.500, 0.500) (multiplicity 2)
Nd (0.170, 0.000, 0.835) (multiplicity 4)
Y (0.000, 0.500, 0.000) (multiplicity 2)
Te (0.003, 0.000, 0.759) (multiplicity 4)
Te (0.162, 0.500, 0.078) (multiplicity 4)
Te (0.165, 0.500, 0.586) (multiplicity 4)

The 10 most intense peaks (15 to 90 degrees two-theta), most intense first:
d = 3.186 Å, I 100, (1 1 -2)
d = 2.246 Å, I 38, (0 2 0)
d = 2.257 Å, I 25, (5 1 2)
d = 1.834 Å, I 13, (6 2 0)
d = 2.263 Å, I 13, (2 0 -4)
d = 1.593 Å, I 13, (2 2 -4)
d = 1.422 Å, I 11, (8 2 -4)
d = 1.427 Å, I 11, (4 2 4)
d = 1.298 Å, I 10, (5 3 2)
d = 1.839 Å, I 7, (8 0 -4)